Diffraction record for Np2NiP4. The XRD peak list is calculated, not measured: it uses a DFT-relaxed cell (GGA-PBE, Alexandria) and Cu Kα (λ = 1.5418 Å).

The 12 most intense peaks (5° ≤ 2θ ≤ 70°), low angle first:
2θ (°), intensity, hkl
20.26, 30.0, 0 0 2
25.90, 100.0, 1 0 1
33.90, 22.9, 1 1 0
39.12, 48.5, 1 0 3
39.81, 68.2, 1 1 2
41.18, 12.2, 0 0 4
48.69, 22.2, 2 0 0
53.26, 10.5, 2 0 2
55.97, 25.8, 2 1 1
58.10, 17.5, 1 0 5
64.15, 23.3, 2 1 3
65.63, 12.6, 2 0 4

Structural model:
```
data_Np2NiP4
_symmetry_space_group_name_H-M 'P -4 m 2'
_symmetry_Int_Tables_number 115
_cell_length_a 3.740
_cell_length_b 3.740
_cell_length_c 8.767
_cell_angle_alpha 90.00
_cell_angle_beta 90.00
_cell_angle_gamma 90.00
loop_
_symmetry_equiv_pos_as_xyz
'x,y,z'
'y,-x,-z'
'-x,-y,z'
'-y,x,-z'
'-x,y,z'
'-y,-x,-z'
'x,-y,z'
'y,x,-z'
loop_
_atom_site_label
_atom_site_type_symbol
_atom_site_fract_x
_atom_site_fract_y
_atom_site_fract_z
Np1 Np 0.000 0.500 0.249
Ni1 Ni 0.500 0.500 0.000
P1 P 0.000 0.000 0.500
P2 P 0.000 0.500 0.858
P3 P 0.500 0.500 0.500
```